Starting from DFT lattice parameters and positions (GGA-PBE), the XRD peak list of Pr2Ag5Pd4 was calculated for CuKα.
Neutral-atom scattering factors, no anomalous dispersion.

Cell and atoms:
Cell: 10.3069 9.6245 5.3608 Å, 81.56 67.47 30.96°
Sites, in units of the cell vectors:
Pr: 0.1327 0.1327 0.8673
Pr: 0.8673 0.8673 0.1327
Ag: 0.0000 0.0000 0.5000
Ag: 0.2500 0.2500 0.2500
Ag: 0.5000 0.5000 0.0000
Ag: 0.5000 0.5000 0.5000
Ag: 0.7500 0.7500 0.7500
Pd: 0.2106 0.5347 0.4653
Pd: 0.4653 0.7894 0.2106
Pd: 0.5347 0.2106 0.7894
Pd: 0.7894 0.4653 0.5347

Main lines, most intense first (5 to 70 degrees two-theta):
- 2θ 38.10, rel. 100
- 2θ 36.59, rel. 64
- 2θ 39.08, rel. 59
- 2θ 41.66, rel. 30
- 2θ 27.38, rel. 28
- 2θ 33.81, rel. 26

Starting from DFT lattice parameters and positions (GGA-PBE), the XRD peak list of Ca4CoCu was calculated for CuKα.
Neutral-atom scattering factors, no anomalous dispersion.

Cell and atoms:
Cell: 6.4561 6.4561 6.4561 Å, 60.00 60.00 60.00°
Sites, in units of the cell vectors:
Ca: 0.1247 0.1247 0.1247
Ca: 0.1247 0.1247 0.6258
Ca: 0.1247 0.6258 0.1247
Ca: 0.6258 0.1247 0.1247
Co: 0.7500 0.7500 0.7500
Cu: 0.5000 0.5000 0.5000

Main lines, most intense first (5 to 70 degrees two-theta):
- 2θ 32.53, rel. 100
- 2θ 27.63, rel. 42
- 2θ 52.05, rel. 32
- 2θ 34.01, rel. 27
- 2θ 57.06, rel. 25
- 2θ 48.87, rel. 17